1.
This entry pairs a crystal structure of AlCo4 with its simulated powder XRD pattern. Radiation: Cu Kα, 1.54184 Å. Structure: a crystal structure in OQMD, relaxed with GGA-PBE.
No peak broadening, texture or thermal motion is included.

Top 6 peaks for 15 to 90 degrees two-theta, low angle first:
h k l  Position (°2θ)  I/Imax
4 1 0  42.85  1000
3 3 0  44.16  451
2 0 2  45.08  304
2 1 2  46.34  722
4 1 1  47.52  897
3 3 1  48.73  461

Crystal structure
```
AlCo4
1.0
8.701 0.000 0.000
0.000 8.701 0.000
0.000 0.000 4.535
Al Co
6 24
direct
0.000 0.000 0.000
0.115 0.115 0.500
0.385 0.615 0.000
0.500 0.500 0.500
0.615 0.385 0.000
0.885 0.885 0.500
0.035 0.373 0.500
0.067 0.266 0.000
0.127 0.535 0.000
0.181 0.819 0.252
0.181 0.819 0.748
0.234 0.567 0.500
0.266 0.067 0.000
0.319 0.319 0.248
0.319 0.319 0.752
0.373 0.035 0.500
0.433 0.766 0.500
0.465 0.873 0.000
0.535 0.127 0.000
0.567 0.234 0.500
0.627 0.965 0.500
0.681 0.681 0.248
0.681 0.681 0.752
0.734 0.933 0.000
0.766 0.433 0.500
0.819 0.181 0.252
0.819 0.181 0.748
0.873 0.465 0.000
0.933 0.734 0.000
0.965 0.627 0.500
```

2.
This entry pairs a crystal structure of Al11Co4 with its simulated powder XRD pattern. Radiation: Cu Kα, 1.54184 Å. Structure: a crystal structure in OQMD, relaxed with GGA-PBE.
No peak broadening, texture or thermal motion is included.

Top 6 peaks for 15 to 90 degrees two-theta, low angle first:
h k l  Position (°2θ)  I/Imax
4 1 0  40.69  782
3 3 0  41.95  419
2 1 2  43.18  490
4 1 1  44.90  1000
3 3 1  46.04  577
2 2 2  46.64  393

Crystal structure
```
Al11Co4
1.0
9.143 0.000 0.000
0.000 9.143 0.000
0.000 0.000 4.880
Al Co
22 8
direct
0.000 0.000 0.000
0.029 0.369 0.500
0.101 0.101 0.500
0.131 0.529 0.000
0.197 0.803 0.250
0.197 0.803 0.750
0.303 0.303 0.250
0.303 0.303 0.750
0.369 0.029 0.500
0.399 0.601 0.000
0.471 0.869 0.000
0.500 0.500 0.500
0.529 0.131 0.000
0.601 0.399 0.000
0.631 0.971 0.500
0.697 0.697 0.250
0.697 0.697 0.750
0.803 0.197 0.250
0.803 0.197 0.750
0.869 0.471 0.000
0.899 0.899 0.500
0.971 0.631 0.500
0.052 0.260 0.000
0.240 0.552 0.500
0.260 0.052 0.000
0.448 0.760 0.500
0.552 0.240 0.500
0.740 0.948 0.000
0.760 0.448 0.500
0.948 0.740 0.000
```

3.
This entry pairs a crystal structure of Al9Co2 with its simulated powder XRD pattern. Radiation: Cu Kα, 1.54184 Å. Structure: a crystal structure in OQMD, relaxed with GGA-PBE.
No peak broadening, texture or thermal motion is included.

Top 6 peaks for 15 to 90 degrees two-theta, low angle first:
h k l  Position (°2θ)  I/Imax
1 2 2  39.24  531
2 1 2  40.22  619
2 1 -3  43.87  799
1 3 0  45.81  540
3 1 0  46.48  1000
1 3 -1  46.82  994

Crystal structure
```
Al9Co2
1.0
6.192 0.000 0.000
0.000 6.274 0.000
-0.740 0.000 8.510
Al Co
18 4
direct
0.000 0.000 0.000
0.000 0.500 0.500
0.088 0.211 0.730
0.088 0.289 0.230
0.215 0.613 0.044
0.215 0.887 0.544
0.391 0.192 0.997
0.391 0.308 0.497
0.406 0.534 0.767
0.406 0.966 0.267
0.594 0.034 0.733
0.594 0.466 0.233
0.609 0.692 0.503
0.609 0.808 0.003
0.785 0.113 0.456
0.785 0.387 0.956
0.912 0.711 0.770
0.912 0.789 0.270
0.264 0.618 0.333
0.264 0.882 0.833
0.736 0.118 0.167
0.736 0.382 0.667
```